BaNaBO3: simulated powder XRD pattern (CuKα), based on a DFT-relaxed cell (PBE, the Materials Project).
Peak positions follow from Bragg's law for the DFT cell and can differ from measured ones.

Structural model:
```
data_BaNaBO3
_chemical_formula_sum 'Ba4 Na4 B4 O12'
_cell_length_a 9.692
_cell_length_b 5.634
_cell_length_c 6.270
_cell_angle_alpha 90.00
_cell_angle_beta 99.01
_cell_angle_gamma 90.00
_symmetry_space_group_name_H-M 'C 1 2/m 1'
_symmetry_Int_Tables_number 12
_symmetry_space_group_name_Hall '-C 2y'
loop_
_atom_site_label
_atom_site_type_symbol
_atom_site_fract_x
_atom_site_fract_y
_atom_site_fract_z
Ba1 Ba 0.167 0.000 0.242
Na1 Na 0.000 0.500 0.000
Na2 Na 0.000 0.500 0.500
B1 B 0.167 0.000 0.751
O1 O 0.102 0.213 0.791
O2 O 0.204 0.500 0.323
```

Main lines, by angle (2θ = 15–90°):
2θ/deg	intensity
18.27	37.5
21.62	42.3
22.35	90.4
24.17	53.9
28.84	68.8
31.76	49.9
32.24	100.0
35.61	44.1
36.99	29.9
38.14	30.4
38.75	51.1
40.99	42.4